Structure and calculated XRD peak list of FeAg3Pd3O8 (DFT lattice parameters and positions (GGA+U); Cu Kα (weighted mean of Kα1 and Kα2)).
Intensities are scaled so that the largest is 1000.

Structural model:
a b c (Å): 6.1947 6.1947 7.5525
angles (deg): 118.26 118.26 60.21
Positions (direct):
Fe 0.0000 0.0000 0.0000
Ag 0.0000 0.5000 0.5000
Ag 0.5000 0.0000 0.5000
Ag 0.5000 0.5000 0.5000
Pd 0.0000 0.5000 0.0000
Pd 0.5000 0.0000 0.0000
Pd 0.5000 0.5000 0.0000
O 0.1014 0.6161 0.8358
O 0.1031 0.1031 0.8520
O 0.3839 0.8986 0.1642
O 0.3989 0.3989 0.1708
O 0.6011 0.6011 0.8292
O 0.6161 0.1014 0.8358
O 0.8969 0.8969 0.1480
O 0.8986 0.3839 0.1642

Top 10 peaks for 5° ≤ 2θ ≤ 70°, in order of falling intensity:
35.14°, I = 1000
28.23°, I = 765
37.77°, I = 543
34.08°, I = 493
52.62°, I = 348
58.33°, I = 323
17.36°, I = 259
59.90°, I = 241
49.10°, I = 228
40.21°, I = 222